Entry 1:
# BaGa2Cl6
Theoretical X-ray diffraction stick pattern, Cu Kα X-rays. Input: a cell relaxed with PBE.
Intensities are scaled so that the largest is 100.

Main lines, low angle first (2θ from 10° to 90°):
2θ/deg, d (Å), I/Imax
15.23, 5.818, 66
24.80, 3.590, 57
25.93, 3.436, 59
29.72, 3.006, 37
30.73, 2.910, 84
36.19, 2.482, 100
43.67, 2.073, 27
44.37, 2.042, 35
50.87, 1.795, 26
53.35, 1.717, 37

Crystal structure
```
BaGa2Cl6
1.0
3.5902 2.0728 5.4969
-3.5902 2.0728 5.4969
0.0000 -4.1456 5.4969
Ba Ga Cl
1 2 6
Direct
0.0000 0.0000 0.0000
0.2588 0.2588 0.2588
0.4829 0.4829 0.4829
0.0422 0.4321 0.5617
0.0878 0.9607 0.4860
0.4321 0.5617 0.0422
0.4860 0.0878 0.9607
0.5617 0.0422 0.4321
0.9607 0.4860 0.0878
```


Entry 2:
# BaGa2HgCl6
Theoretical X-ray diffraction stick pattern, Cu Kα X-rays. Input: a cell relaxed with PBE.
Intensities are scaled so that the largest is 100.

Main lines, low angle first (2θ from 10° to 90°):
2θ/deg, d (Å), I/Imax
11.38, 7.773, 78
16.77, 5.287, 100
17.08, 5.192, 39
19.08, 4.652, 84
21.98, 4.045, 26
22.44, 3.962, 44
26.50, 3.363, 28
26.65, 3.345, 37
32.34, 2.768, 35
46.70, 1.945, 28

Crystal structure
```
BaGa2HgCl6
1.0
6.0023 -6.4260 0.0000
6.0023 6.4260 0.0000
-5.3420 0.0000 9.3038
Ba Ga Hg Cl
2 4 2 12
Direct
0.0095 0.9905 0.7500
0.9905 0.0095 0.2500
0.1192 0.4583 0.7436
0.4583 0.1192 0.2436
0.5417 0.8808 0.7564
0.8808 0.5417 0.2564
0.3678 0.6322 0.7500
0.6322 0.3678 0.2500
0.0344 0.7911 0.4474
0.0832 0.3886 0.2814
0.1325 0.3755 0.9249
0.2089 0.9656 0.0526
0.3755 0.1325 0.4249
0.3886 0.0832 0.7814
0.6114 0.9168 0.2186
0.6245 0.8675 0.5751
0.7911 0.0344 0.9474
0.8675 0.6245 0.0751
0.9168 0.6114 0.7186
0.9656 0.2089 0.5526
```


- Which formula does entry 1 have?
  BaGa2Cl6